For NdEr5Pb3, a structure optimized by DFT (GGA-PBE) gives the calculated X-ray powder pattern in this record (Cu Ka).
Neutral-atom scattering factors, no anomalous dispersion.

Cell and atoms:
Unit cell a=9.4553 b=9.4553 c=6.5773 alpha=90.00 beta=90.00 gamma=120.00
Space group P6_3/mcm (No. 193)
Symmetry-distinct sites (fractional):
Nd 0.0000 0.0000 0.0000 x2
Er 0.0000 0.3320 0.2500 x6
Er 0.3333 0.6667 0.0000 x4
Pb 0.0000 0.3376 0.7500 x6

The 10 most intense peaks (10 to 90 degrees two-theta), by angle:
- hkl 3 0 0, 2.730 Å, 32.8 deg, intensity 100
- hkl 1 1 2, 2.700 Å, 33.2 deg, intensity 82
- hkl 3 0 2, 2.100 Å, 43.1 deg, intensity 15
- hkl 2 2 2, 1.919 Å, 47.4 deg, intensity 31
- hkl 3 3 0, 1.576 Å, 58.6 deg, intensity 19
- hkl 4 1 2, 1.570 Å, 58.8 deg, intensity 32
- hkl 3 0 4, 1.408 Å, 66.4 deg, intensity 27
- hkl 6 0 0, 1.365 Å, 68.8 deg, intensity 12
- hkl 5 2 2, 1.218 Å, 78.5 deg, intensity 14
- hkl 3 3 4, 1.138 Å, 85.3 deg, intensity 14



For Nd5ErPb4, a structure optimized by DFT (GGA-PBE) gives the calculated X-ray powder pattern in this record (Cu Ka).
Neutral-atom scattering factors, no anomalous dispersion.

Cell and atoms:
Unit cell a=16.8351 b=5.4803 c=7.3492 alpha=90.00 beta=90.77 gamma=90.00
Space group C2/m (No. 12)
Symmetry-distinct sites (fractional):
Nd 0.0000 0.0000 0.0000 x2
Nd 0.1662 0.5000 0.9964 x4
Nd 0.1669 0.5000 0.5063 x4
Er 0.0000 0.0000 0.5000 x2
Pb 0.0082 0.5000 0.2564 x4
Pb 0.1736 0.0000 0.7477 x4

The 10 most intense peaks (10 to 90 degrees two-theta), by angle:
- hkl 1 1 -1, 4.251 Å, 20.9 deg, intensity 29
- hkl 6 0 0, 2.806 Å, 31.9 deg, intensity 54
- hkl 0 2 0, 2.740 Å, 32.7 deg, intensity 53
- hkl 3 1 -2, 2.694 Å, 33.3 deg, intensity 100
- hkl 3 1 2, 2.668 Å, 33.6 deg, intensity 98
- hkl 6 2 0, 1.960 Å, 46.3 deg, intensity 39
- hkl 9 1 -2, 1.603 Å, 57.5 deg, intensity 20
- hkl 3 3 -2, 1.573 Å, 58.7 deg, intensity 20
- hkl 3 3 2, 1.568 Å, 58.9 deg, intensity 20
- hkl 0 2 4, 1.526 Å, 60.7 deg, intensity 27



For NdEr2Pb3, a structure optimized by DFT (GGA-PBE) gives the calculated X-ray powder pattern in this record (Cu Ka).
Neutral-atom scattering factors, no anomalous dispersion.

Cell and atoms:
Unit cell a=4.8722 b=10.1413 c=7.2302 alpha=90.00 beta=90.00 gamma=90.00
Space group Pmc2_1 (No. 26)
Symmetry-distinct sites (fractional):
Nd 0.0000 0.0716 0.0000 x2
Er 0.0000 0.2866 0.4999 x2
Er 0.5000 0.4993 0.2482 x2
Pb 0.0000 0.4011 0.9976 x2
Pb 0.5000 0.1580 0.2825 x2
Pb 0.5000 0.1580 0.7174 x2

The 10 most intense peaks (10 to 90 degrees two-theta), by angle:
- hkl 0 3 1, 3.062 Å, 29.2 deg, intensity 21
- hkl 1 0 2, 2.903 Å, 30.8 deg, intensity 100
- hkl 1 3 0, 2.777 Å, 32.2 deg, intensity 47
- hkl 1 3 1, 2.593 Å, 34.6 deg, intensity 30
- hkl 0 3 2, 2.469 Å, 36.4 deg, intensity 31
- hkl 2 0 0, 2.436 Å, 36.9 deg, intensity 33
- hkl 2 3 1, 1.907 Å, 47.7 deg, intensity 13
- hkl 2 3 2, 1.734 Å, 52.8 deg, intensity 22
- hkl 3 0 2, 1.481 Å, 62.7 deg, intensity 14
- hkl 2 6 2, 1.296 Å, 73.0 deg, intensity 12



For Nd3Er4Pb4, a structure optimized by DFT (GGA-PBE) gives the calculated X-ray powder pattern in this record (Cu Ka).
Neutral-atom scattering factors, no anomalous dispersion.

Cell and atoms:
Unit cell a=3.8592 b=5.1825 c=34.2525 alpha=90.00 beta=90.00 gamma=90.00
Space group Immm (No. 71)
Symmetry-distinct sites (fractional):
Nd 0.0000 0.0000 0.0000 x2
Nd 0.0000 0.5000 0.1471 x4
Er 0.0000 0.0000 0.2626 x4
Er 0.0000 0.5000 0.4055 x4
Pb 0.0000 0.0000 0.4518 x4
Pb 0.0000 0.5000 0.3155 x4

The 10 most intense peaks (10 to 90 degrees two-theta), by angle:
- hkl 1 0 1, 3.835 Å, 23.2 deg, intensity 23
- hkl 1 0 7, 3.030 Å, 29.5 deg, intensity 54
- hkl 1 1 4, 2.911 Å, 30.7 deg, intensity 100
- hkl 0 1 11, 2.669 Å, 33.6 deg, intensity 96
- hkl 0 2 0, 2.591 Å, 34.6 deg, intensity 54
- hkl 1 1 10, 2.297 Å, 39.2 deg, intensity 24
- hkl 1 2 7, 1.969 Å, 46.1 deg, intensity 32
- hkl 2 0 0, 1.930 Å, 47.1 deg, intensity 23
- hkl 2 1 11, 1.564 Å, 59.1 deg, intensity 47
- hkl 2 2 0, 1.548 Å, 59.8 deg, intensity 23



For Nd2Er2Pb, a structure optimized by DFT (GGA-PBE) gives the calculated X-ray powder pattern in this record (Cu Ka).
Neutral-atom scattering factors, no anomalous dispersion.

Cell and atoms:
Unit cell a=11.9842 b=6.4133 c=8.8071 alpha=90.00 beta=104.41 gamma=90.00
Space group P2_1/c (No. 14)
Symmetry-distinct sites (fractional):
Nd 0.1439 0.0991 0.0697 x4
Nd 0.2749 0.5942 0.9637 x4
Er 0.0472 0.5860 0.1851 x4
Er 0.4723 0.1770 0.1655 x4
Pb 0.3081 0.0848 0.8297 x4

The 10 most intense peaks (10 to 90 degrees two-theta), by angle:
- hkl 2 0 2, 3.090 Å, 28.9 deg, intensity 86
- hkl 3 1 -2, 2.937 Å, 30.4 deg, intensity 79
- hkl 1 2 1, 2.846 Å, 31.4 deg, intensity 94
- hkl 2 2 -1, 2.767 Å, 32.4 deg, intensity 44
- hkl 4 1 -1, 2.705 Å, 33.1 deg, intensity 100
- hkl 1 1 -3, 2.669 Å, 33.6 deg, intensity 93
- hkl 2 1 -3, 2.603 Å, 34.5 deg, intensity 60
- hkl 2 2 1, 2.576 Å, 34.8 deg, intensity 52
- hkl 3 0 2, 2.566 Å, 35.0 deg, intensity 40
- hkl 3 3 -2, 1.795 Å, 50.9 deg, intensity 40



For NdErSi2Pd5, a structure optimized by DFT (GGA-PBE) gives the calculated X-ray powder pattern in this record (Cu Ka).
Neutral-atom scattering factors, no anomalous dispersion.

Cell and atoms:
Unit cell a=4.2118 b=4.2118 c=9.0163 alpha=90.00 beta=90.00 gamma=90.00
Space group P4/mmm (No. 123)
Symmetry-distinct sites (fractional):
Nd 0.0000 0.0000 0.0000 x1
Er 0.0000 0.0000 0.5000 x1
Si 0.5000 0.5000 0.3703 x2
Pd 0.0000 0.5000 0.2379 x4
Pd 0.5000 0.5000 0.0000 x1

The 10 most intense peaks (10 to 90 degrees two-theta), by angle:
- hkl 1 0 0, 4.212 Å, 21.1 deg, intensity 5
- hkl 1 0 2, 3.078 Å, 29.0 deg, intensity 10
- hkl 1 1 2, 2.485 Å, 36.1 deg, intensity 100
- hkl 0 0 4, 2.254 Å, 40.0 deg, intensity 16
- hkl 2 0 0, 2.106 Å, 42.9 deg, intensity 36
- hkl 2 0 4, 1.539 Å, 60.1 deg, intensity 19
- hkl 2 2 0, 1.489 Å, 62.4 deg, intensity 12
- hkl 1 1 6, 1.342 Å, 70.2 deg, intensity 14
- hkl 3 1 2, 1.277 Å, 74.2 deg, intensity 24
- hkl 2 2 4, 1.242 Å, 76.7 deg, intensity 9



For Pm6NdEr3, a structure optimized by DFT (GGA-PBE) gives the calculated X-ray powder pattern in this record (Cu Ka).
Neutral-atom scattering factors, no anomalous dispersion.

Cell and atoms:
Unit cell a=9.7840 b=21.3473 c=6.4566 alpha=90.00 beta=90.00 gamma=90.00
Space group Cmc2_1 (No. 36)
Symmetry-distinct sites (fractional):
Pm 0.0000 0.0150 0.0000 x4
Pm 0.0000 0.3009 0.0019 x4
Pm 0.1742 0.2814 0.5300 x8
Pm 0.1788 0.4413 0.7791 x8
Nd 0.0000 0.1579 0.2092 x4
Er 0.0000 0.4186 0.2997 x4
Er 0.1687 0.1265 0.6879 x8

The 10 most intense peaks (10 to 90 degrees two-theta), by angle:
- hkl 2 4 1, 3.148 Å, 28.3 deg, intensity 59
- hkl 0 6 1, 3.116 Å, 28.6 deg, intensity 35
- hkl 1 7 0, 2.911 Å, 30.7 deg, intensity 60
- hkl 3 1 1, 2.884 Å, 31.0 deg, intensity 100
- hkl 1 3 2, 2.816 Å, 31.8 deg, intensity 54
- hkl 0 4 2, 2.762 Å, 32.4 deg, intensity 39
- hkl 3 3 1, 2.694 Å, 33.3 deg, intensity 61
- hkl 2 6 1, 2.628 Å, 34.1 deg, intensity 27
- hkl 5 7 0, 1.648 Å, 55.8 deg, intensity 37
- hkl 6 0 0, 1.630 Å, 56.5 deg, intensity 30



For PmNd4Er8, a structure optimized by DFT (GGA-PBE) gives the calculated X-ray powder pattern in this record (Cu Ka).
Neutral-atom scattering factors, no anomalous dispersion.

Cell and atoms:
Unit cell a=11.0383 b=11.0383 c=13.4813 alpha=90.00 beta=90.00 gamma=120.00
Space group R-3m (No. 166, hexagonal axes)
Symmetry-distinct sites (fractional):
Pm 0.0000 0.0000 0.0000 x3
Nd 0.0000 0.0000 0.5000 x3
Nd 0.0000 0.5000 0.5000 x9
Er 0.0000 0.0000 0.2606 x6
Er 0.0137 0.5068 0.2463 x18

The 10 most intense peaks (10 to 90 degrees two-theta), by angle:
- hkl 0 0 3, 4.502 Å, 19.7 deg, intensity 11
- hkl 2 0 2, 3.899 Å, 22.8 deg, intensity 10
- hkl 2 2 0, 2.757 Å, 32.5 deg, intensity 100
- hkl 2 2 3, 2.351 Å, 38.3 deg, intensity 6
- hkl 4 0 4, 1.949 Å, 46.6 deg, intensity 18
- hkl 6 0 0, 1.593 Å, 57.9 deg, intensity 28
- hkl 2 0 8, 1.589 Å, 58.0 deg, intensity 9
- hkl 4 4 0, 1.380 Å, 67.9 deg, intensity 6
- hkl 6 2 4, 1.234 Å, 77.4 deg, intensity 8
- hkl 4 2 8, 1.232 Å, 77.5 deg, intensity 8



For Pm7Nd2Er4, a structure optimized by DFT (GGA-PBE) gives the calculated X-ray powder pattern in this record (Cu Ka).
Neutral-atom scattering factors, no anomalous dispersion.

Cell and atoms:
Unit cell a=6.2471 b=6.2629 c=11.4094 alpha=90.09 beta=100.55 gamma=99.78
Space group P-1 (No. 2)
Symmetry-distinct sites (fractional):
Pm 0.0000 0.0000 0.0000 x1
Pm 0.0783 0.8452 0.3053 x2
Pm 0.2313 0.5398 0.9238 x2
Pm 0.3848 0.2318 0.5389 x2
Nd 0.1528 0.6948 0.6174 x2
Er 0.3095 0.3842 0.2286 x2
Er 0.4632 0.0779 0.8479 x2

The 10 most intense peaks (10 to 90 degrees two-theta), by angle:
- hkl 1 0 3, 2.947 Å, 30.3 deg, intensity 100
- hkl 1 -2 2, 2.555 Å, 35.1 deg, intensity 34
- hkl 2 1 0, 2.547 Å, 35.2 deg, intensity 17
- hkl 1 3 -2, 1.806 Å, 50.5 deg, intensity 18
- hkl 3 -1 2, 1.803 Å, 50.6 deg, intensity 18
- hkl 3 -3 1, 1.542 Å, 60.0 deg, intensity 14
- hkl 3 2 -3, 1.538 Å, 60.1 deg, intensity 18
- hkl 3 1 3, 1.537 Å, 60.2 deg, intensity 11
- hkl 0 4 2, 1.474 Å, 63.1 deg, intensity 9
- hkl 5 -2 1, 1.171 Å, 82.3 deg, intensity 7



For Pm6Nd3Er, a structure optimized by DFT (GGA-PBE) gives the calculated X-ray powder pattern in this record (Cu Ka).
Neutral-atom scattering factors, no anomalous dispersion.

Cell and atoms:
Unit cell a=11.0015 b=19.3230 c=6.4964 alpha=90.00 beta=90.00 gamma=90.00
Space group Cmc2_1 (No. 36)
Symmetry-distinct sites (fractional):
Pm 0.0000 0.0352 0.0000 x4
Pm 0.0000 0.2758 0.2129 x4
Pm 0.1704 0.4571 0.3076 x8
Pm 0.2332 0.2910 0.4974 x8
Nd 0.0000 0.3855 0.7858 x4
Nd 0.1742 0.1161 0.4007 x8
Er 0.0000 0.1918 0.7486 x4

The 10 most intense peaks (10 to 90 degrees two-theta), by angle:
- hkl 3 3 0, 3.183 Å, 28.0 deg, intensity 40
- hkl 2 4 1, 3.169 Å, 28.2 deg, intensity 57
- hkl 3 1 1, 3.151 Å, 28.3 deg, intensity 43
- hkl 1 1 2, 3.076 Å, 29.0 deg, intensity 28
- hkl 0 6 1, 2.885 Å, 31.0 deg, intensity 100
- hkl 3 3 1, 2.861 Å, 31.3 deg, intensity 52
- hkl 2 0 2, 2.799 Å, 32.0 deg, intensity 32
- hkl 2 2 2, 2.687 Å, 33.4 deg, intensity 66
- hkl 3 5 0, 2.660 Å, 33.7 deg, intensity 27
- hkl 6 6 1, 1.547 Å, 59.8 deg, intensity 22



For PmNd8Er2, a structure optimized by DFT (GGA-PBE) gives the calculated X-ray powder pattern in this record (Cu Ka).
Neutral-atom scattering factors, no anomalous dispersion.

Cell and atoms:
Unit cell a=19.4671 b=7.1004 c=5.7091 alpha=90.00 beta=93.33 gamma=90.00
Space group C2/m (No. 12)
Symmetry-distinct sites (fractional):
Pm 0.0000 0.0000 0.0000 x2
Nd 0.0447 0.5000 0.2377 x4
Nd 0.1332 0.2681 0.7318 x8
Nd 0.1877 0.0000 0.2308 x4
Er 0.2154 0.5000 0.2551 x4

The 10 most intense peaks (10 to 90 degrees two-theta), by angle:
- hkl 2 2 -1, 2.904 Å, 30.8 deg, intensity 88
- hkl 6 0 -1, 2.889 Å, 31.0 deg, intensity 69
- hkl 4 2 0, 2.865 Å, 31.2 deg, intensity 100
- hkl 0 0 2, 2.852 Å, 31.4 deg, intensity 98
- hkl 6 0 1, 2.748 Å, 32.6 deg, intensity 38
- hkl 8 2 0, 2.005 Å, 45.2 deg, intensity 17
- hkl 0 4 0, 1.775 Å, 51.5 deg, intensity 18
- hkl 8 2 -2, 1.678 Å, 54.7 deg, intensity 17
- hkl 6 4 -1, 1.512 Å, 61.3 deg, intensity 18
- hkl 0 4 2, 1.507 Å, 61.5 deg, intensity 17



For Pm3Nd7Er, a structure optimized by DFT (GGA-PBE) gives the calculated X-ray powder pattern in this record (Cu Ka).
Neutral-atom scattering factors, no anomalous dispersion.

Cell and atoms:
Unit cell a=7.1247 b=11.2892 c=10.2976 alpha=90.00 beta=109.82 gamma=90.00
Space group P2_1/m (No. 11)
Symmetry-distinct sites (fractional):
Pm 0.0000 0.0000 0.0000 x2
Pm 0.2472 0.2500 0.4739 x2
Pm 0.2736 0.7500 0.5167 x2
Nd 0.0933 0.0449 0.6824 x4
Nd 0.1677 0.7500 0.8228 x2
Nd 0.3018 0.2500 0.1015 x2
Nd 0.3532 0.7500 0.1701 x2
Nd 0.4160 0.0096 0.3271 x4
Er 0.5000 0.0000 0.0000 x2

The 10 most intense peaks (10 to 90 degrees two-theta), by angle:
- hkl 2 0 1, 2.881 Å, 31.0 deg, intensity 90
- hkl 2 2 -2, 2.872 Å, 31.1 deg, intensity 63
- hkl 2 0 -3, 2.860 Å, 31.3 deg, intensity 28
- hkl 0 4 0, 2.822 Å, 31.7 deg, intensity 52
- hkl 0 2 3, 2.803 Å, 31.9 deg, intensity 100
- hkl 2 4 1, 2.016 Å, 45.0 deg, intensity 18
- hkl 2 4 -3, 2.009 Å, 45.1 deg, intensity 16
- hkl 2 6 -2, 1.640 Å, 56.1 deg, intensity 18
- hkl 0 6 3, 1.625 Å, 56.6 deg, intensity 22
- hkl 4 4 -2, 1.507 Å, 61.5 deg, intensity 29



Question: Which formula does entry 4 have?
Answer: Nd3Er4Pb4